Record 1
This entry pairs a crystal structure of MnGePSN with its theoretical XRD peak list. Radiation: CuKα. Structure: a DFT-relaxed cell (PBE, Alexandria).
Kinematic intensities with the Lorentz-polarization factor, no thermal factor.

Largest 10 diffraction maxima, in order of falling intensity, 15° ≤ 2θ ≤ 90°:
Position (°2θ), intensity
55.74, 100.0
47.33, 97.7
39.70, 92.3
23.98, 88.4
39.10, 80.7
32.41, 75.3
29.79, 65.2
37.48, 59.5
41.72, 58.5
24.74, 58.2

Structure:
```
data_MnGePSN
_chemical_formula_sum 'Mn2 Ge2 P2 S2 N2'
_symmetry_space_group_name_H-M 'I m m 2'
_symmetry_Int_Tables_number 44
_cell_length_a 2.8143
_cell_length_b 3.8415
_cell_length_c 14.3958
_cell_angle_alpha 90.00
_cell_angle_beta 90.00
_cell_angle_gamma 90.00
loop_
_symmetry_equiv_pos_as_xyz
'x,y,z'
'-x,-y,z'
'-x,y,z'
'x,-y,z'
'x+1/2,y+1/2,z+1/2'
'-x+1/2,-y+1/2,z+1/2'
'-x+1/2,y+1/2,z+1/2'
'x+1/2,-y+1/2,z+1/2'
loop_
_atom_site_label
_atom_site_type_symbol
_atom_site_fract_x
_atom_site_fract_y
_atom_site_fract_z
Mn1 Mn 0.0000 0.0000 0.0000
Ge1 Ge 0.0000 0.0000 0.8159
P1 P 0.0000 0.5000 0.7098
S1 S 0.0000 0.0000 0.4785
N1 N 0.0000 0.0000 0.1435
```

***

Record 2
This entry pairs a crystal structure of Ho6Er4Tl with its theoretical XRD peak list. Radiation: CuKα. Structure: a DFT-relaxed cell (PBE, Alexandria).
Kinematic intensities with the Lorentz-polarization factor, no thermal factor.

Largest 10 diffraction maxima, in order of falling intensity, 15° ≤ 2θ ≤ 90°:
Position (°2θ), intensity
31.31, 100.0
32.75, 90.0
33.46, 57.5
61.54, 29.8
37.46, 29.1
51.08, 24.7
60.24, 21.4
50.54, 15.7
30.99, 15.6
64.58, 15.4

Structure:
```
data_Ho6Er4Tl
_chemical_formula_sum 'Ho12 Er8 Tl2'
_symmetry_space_group_name_H-M 'C 1 m 1'
_symmetry_Int_Tables_number 8
_cell_length_a 22.1497
_cell_length_b 3.6116
_cell_length_c 9.6075
_cell_angle_alpha 90.00
_cell_angle_beta 115.69
_cell_angle_gamma 90.00
loop_
_symmetry_equiv_pos_as_xyz
'x,y,z'
'x,-y,z'
'x+1/2,y+1/2,z'
'x+1/2,-y+1/2,z'
loop_
_atom_site_label
_atom_site_type_symbol
_atom_site_fract_x
_atom_site_fract_y
_atom_site_fract_z
Ho1 Ho 0.0000 0.0000 0.0000
Ho2 Ho 0.0002 0.0000 0.3830
Ho3 Ho 0.1733 0.0000 0.0966
Ho4 Ho 0.1733 0.0000 0.6326
Ho5 Ho 0.2686 0.5000 0.9597
Ho6 Ho 0.4325 0.5000 0.6237
Er1 Er 0.0766 0.5000 0.7679
Er2 Er 0.1107 0.5000 0.3019
Er3 Er 0.3465 0.0000 0.7691
Er4 Er 0.3468 0.0000 0.3060
Tl1 Tl 0.2658 0.5000 0.4565
```

***

Record 3
This entry pairs a crystal structure of MgZn5Ni6 with its theoretical XRD peak list. Radiation: CuKα. Structure: a DFT-relaxed cell (PBE, Alexandria).
Kinematic intensities with the Lorentz-polarization factor, no thermal factor.

Largest 10 diffraction maxima, in order of falling intensity, 15° ≤ 2θ ≤ 90°:
Position (°2θ), intensity
42.98, 100.0
46.48, 19.9
46.82, 19.3
83.75, 12.9
84.25, 12.2
68.11, 11.6
56.40, 10.5
75.99, 8.1
76.25, 8.0
15.57, 3.3

Structure:
```
data_MgZn5Ni6
_chemical_formula_sum 'Mg2 Zn10 Ni12'
_symmetry_space_group_name_H-M 'I m m m'
_symmetry_Int_Tables_number 71
_symmetry_space_group_name_Hall '-I 2 2'
_cell_length_a 3.9076
_cell_length_b 6.5261
_cell_length_c 11.6420
_cell_angle_alpha 90.00
_cell_angle_beta 90.00
_cell_angle_gamma 90.00
loop_
_atom_site_label
_atom_site_type_symbol
_atom_site_fract_x
_atom_site_fract_y
_atom_site_fract_z
Mg1 Mg 0.0000 0.0000 0.0000
Zn1 Zn 0.0000 0.0000 0.3305
Zn2 Zn 0.0000 0.5000 0.0000
Zn3 Zn 0.0000 0.5000 0.3360
Ni1 Ni 0.0000 0.2387 0.5000
Ni2 Ni 0.0000 0.2558 0.1695
```

***

Record 4
This entry pairs a crystal structure of SnSbAuSe with its theoretical XRD peak list. Radiation: CuKα. Structure: a DFT-relaxed cell (PBE, Alexandria).
Kinematic intensities with the Lorentz-polarization factor, no thermal factor.

Largest 10 diffraction maxima, in order of falling intensity, 15° ≤ 2θ ≤ 90°:
Position (°2θ), intensity
36.98, 100.0
34.46, 54.8
50.01, 48.7
23.71, 47.3
32.45, 27.3
21.78, 25.4
66.64, 18.0
51.44, 17.6
65.03, 17.5
30.28, 16.3

Structure:
```
data_SnSbAuSe
_chemical_formula_sum 'Sn6 Sb6 Au6 Se6'
_symmetry_space_group_name_H-M 'R -3 m'
_symmetry_Int_Tables_number 166
_symmetry_space_group_name_Hall '-R 3 2"'
_cell_length_a 4.8615
_cell_length_b 4.8615
_cell_length_c 33.1079
_cell_angle_alpha 90.00
_cell_angle_beta 90.00
_cell_angle_gamma 120.00
loop_
_atom_site_label
_atom_site_type_symbol
_atom_site_fract_x
_atom_site_fract_y
_atom_site_fract_z
Sn1 Sn 0.0000 0.0000 0.1063
Sb1 Sb 0.0000 0.0000 0.2891
Au1 Au 0.0000 0.0000 0.3805
Se1 Se 0.0000 0.0000 0.2040
```

***

Record 5
This entry pairs a crystal structure of Ce4YTh3S8 with its theoretical XRD peak list. Radiation: CuKα. Structure: a DFT-relaxed cell (PBE, Alexandria).
Kinematic intensities with the Lorentz-polarization factor, no thermal factor.

Largest 10 diffraction maxima, in order of falling intensity, 15° ≤ 2θ ≤ 90°:
Position (°2θ), intensity
31.48, 100.0
27.18, 83.5
45.07, 36.6
45.18, 36.4
53.45, 31.4
56.01, 19.1
83.23, 18.7
74.61, 16.4
74.78, 16.3
65.72, 11.8

Structure:
```
data_Ce4YTh3S8
_chemical_formula_sum 'Ce12 Y3 Th9 S24'
_symmetry_space_group_name_H-M 'R -3 m'
_symmetry_Int_Tables_number 166
_symmetry_space_group_name_Hall '-R 3 2"'
_cell_length_a 8.0464
_cell_length_b 8.0464
_cell_length_c 19.6417
_cell_angle_alpha 90.00
_cell_angle_beta 90.00
_cell_angle_gamma 120.00
loop_
_atom_site_label
_atom_site_type_symbol
_atom_site_fract_x
_atom_site_fract_y
_atom_site_fract_z
Ce1 Ce 0.0000 0.0000 0.0000
Ce2 Ce 0.0000 0.5000 0.0000
Y1 Y 0.0000 0.0000 0.5000
Th1 Th 0.0000 0.5000 0.5000
S1 S 0.0000 0.0000 0.2510
S2 S 0.0066 0.5033 0.2492
```